Simulated powder diffractogram
Compound: Li2InFeP4O14
Radiation: λ = 1.5418 Å (Cu Kα)
Structure: DFT lattice parameters and positions (PBE+U)
Neutral-atom scattering factors, no anomalous dispersion.

Structure:
abc: 4.9462 7.0748 8.4375
angles: 90.22 90.17 108.91
Fractional coordinates of all 22 atoms:
Li 0.0000 0.0000 0.0000
Li 0.3710 0.3360 0.5069
In 0.4074 0.4106 0.1446
Fe 0.9771 0.9458 0.6453
P 0.4037 0.7588 0.4388
P 0.5866 0.1973 0.8238
P 0.7902 0.1428 0.3282
P 0.9742 0.5962 0.9223
O 0.0460 0.7934 0.8316
O 0.1404 0.8144 0.4796
O 0.2374 0.5364 0.9552
O 0.3252 0.5537 0.3573
O 0.3778 0.1563 0.6832
O 0.4310 0.1723 0.9838
O 0.5854 0.9136 0.3057
O 0.5960 0.7660 0.5826
O 0.5992 0.2754 0.3311
O 0.7671 0.4319 0.8022
O 0.7974 0.0796 0.8188
O 0.8106 0.6115 0.0737
O 0.9526 0.1576 0.4857
O 0.9877 0.1771 0.1837

Main lines, in order of rising 2θ (2θ = 10–90°):
- 13.23 deg, intensity 9.3, hkl 0 1 0
- 16.91 deg, intensity 100.0, hkl 0 1 1
- 21.72 deg, intensity 27.4, hkl 1 0 -1
- 22.02 deg, intensity 31.1, hkl 1 -1 1
- 25.01 deg, intensity 10.3, hkl 0 1 2
- 26.55 deg, intensity 23.3, hkl 1 1 0
- 28.56 deg, intensity 12.0, hkl 1 1 -1
- 28.72 deg, intensity 58.8, hkl -1 1 2
- 29.30 deg, intensity 29.7, hkl -1 2 1
- 34.10 deg, intensity 10.7, hkl 0 2 -2
- 34.28 deg, intensity 8.8, hkl 0 2 2
- 44.90 deg, intensity 8.3, hkl 2 -2 2